For La3PmSm3S8, a structure optimized by DFT (GGA-PBE) gives the theoretical powder XRD pattern in this record (Cu Kα X-rays).
Peak positions follow from Bragg's law for the DFT cell and can differ from measured ones.

Structural model:
Cell: 8.191 8.191 8.191 Å, 59.29 59.29 59.29°
Atoms (fractional coordinates):
La: 0.000 0.500 0.500
La: 0.500 0.000 0.500
La: 0.500 0.500 0.000
Pm: 0.500 0.500 0.500
Sm: 0.000 0.000 0.500
Sm: 0.000 0.500 0.000
Sm: 0.500 0.000 0.000
S: 0.246 0.747 0.747
S: 0.247 0.247 0.247
S: 0.253 0.253 0.754
S: 0.253 0.754 0.253
S: 0.747 0.246 0.747
S: 0.747 0.747 0.246
S: 0.753 0.753 0.753
S: 0.754 0.253 0.253

Peak list (10 most intense, 15° ≤ 2θ ≤ 90°, by intensity)
| 2θ/deg | I/Imax |
| --- | --- |
| 31.1 | 100.0 |
| 26.9 | 47.4 |
| 44.2 | 36.6 |
| 44.7 | 35.6 |
| 55.5 | 18.6 |
| 26.5 | 16.4 |
| 52.8 | 16.1 |
| 73.2 | 16.0 |
| 73.9 | 15.8 |
| 82.1 | 12.0 |

=====

For LaTb4Pm3S8, a structure optimized by DFT (GGA-PBE) gives the theoretical powder XRD pattern in this record (Cu Kα X-rays).
Peak positions follow from Bragg's law for the DFT cell and can differ from measured ones.

Structural model:
Cell: 7.718 7.718 7.184 Å, 90.00 90.00 120.00°
Atoms (fractional coordinates):
La: 0.000 0.000 0.000
Tb: 0.000 0.000 0.500
Tb: 0.000 0.500 0.500
Tb: 0.500 0.000 0.500
Tb: 0.500 0.500 0.500
Pm: 0.000 0.500 0.000
Pm: 0.500 0.000 0.000
Pm: 0.500 0.500 0.000
S: 0.168 0.337 0.736
S: 0.168 0.832 0.736
S: 0.333 0.667 0.261
S: 0.337 0.168 0.264
S: 0.663 0.832 0.736
S: 0.667 0.333 0.739
S: 0.832 0.168 0.264
S: 0.832 0.663 0.264

Peak list (10 most intense, 15° ≤ 2θ ≤ 90°, by intensity)
| 2θ/deg | I/Imax |
| --- | --- |
| 36.7 | 100.0 |
| 26.7 | 74.0 |
| 47.1 | 29.4 |
| 24.8 | 22.5 |
| 61.2 | 22.4 |
| 80.6 | 20.4 |
| 58.3 | 17.6 |
| 53.9 | 17.4 |
| 71.8 | 16.2 |
| 55.0 | 10.4 |

=====

For LaPmY2S4, a structure optimized by DFT (GGA-PBE) gives the theoretical powder XRD pattern in this record (Cu Kα X-rays).
Peak positions follow from Bragg's law for the DFT cell and can differ from measured ones.

Structural model:
Cell: 6.953 6.953 6.953 Å, 131.84 131.84 70.49°
Atoms (fractional coordinates):
La: 0.000 0.000 0.000
Pm: 0.500 0.500 0.000
Y: 0.250 0.750 0.500
Y: 0.750 0.250 0.500
S: 0.000 0.500 0.500
S: 0.253 0.253 0.000
S: 0.500 0.000 0.500
S: 0.747 0.747 0.000

Peak list (10 most intense, 15° ≤ 2θ ≤ 90°, by intensity)
| 2θ/deg | I/Imax |
| --- | --- |
| 31.5 | 100.0 |
| 45.2 | 71.1 |
| 27.2 | 58.5 |
| 74.8 | 30.9 |
| 53.6 | 28.6 |
| 56.1 | 24.4 |
| 83.4 | 23.4 |
| 72.6 | 11.4 |
| 65.8 | 11.2 |
| 89.8 | 8.9 |

=====

For LaPm3Sb3, a structure optimized by DFT (GGA-PBE) gives the theoretical powder XRD pattern in this record (Cu Kα X-rays).
Peak positions follow from Bragg's law for the DFT cell and can differ from measured ones.

Structural model:
Cell: 9.514 9.514 9.514 Å, 90.00 90.00 90.00°
Atoms (fractional coordinates):
La: 0.070 0.430 0.570
La: 0.430 0.570 0.070
La: 0.570 0.070 0.430
La: 0.930 0.930 0.930
Pm: 0.073 0.573 0.927
Pm: 0.180 0.820 0.320
Pm: 0.181 0.181 0.181
Pm: 0.319 0.819 0.681
Pm: 0.320 0.180 0.820
Pm: 0.427 0.427 0.427
Pm: 0.573 0.927 0.073
Pm: 0.680 0.680 0.680
Pm: 0.681 0.319 0.819
Pm: 0.819 0.681 0.319
Pm: 0.820 0.320 0.180
Pm: 0.927 0.073 0.573
Sb: 0.001 0.254 0.879
Sb: 0.121 0.501 0.246
Sb: 0.246 0.121 0.501
Sb: 0.254 0.879 0.001
Sb: 0.379 0.499 0.746
Sb: 0.499 0.746 0.379
Sb: 0.501 0.246 0.121
Sb: 0.621 0.999 0.754
Sb: 0.746 0.379 0.499
Sb: 0.754 0.621 0.999
Sb: 0.879 0.001 0.254
Sb: 0.999 0.754 0.621

Peak list (10 most intense, 15° ≤ 2θ ≤ 90°, by intensity)
| 2θ/deg | I/Imax |
| --- | --- |
| 29.7 | 100.0 |
| 35.3 | 65.5 |
| 59.9 | 25.2 |
| 48.8 | 23.5 |
| 46.8 | 16.8 |
| 73.1 | 15.4 |
| 63.4 | 14.3 |
| 61.7 | 11.9 |
| 88.4 | 10.6 |
| 42.5 | 10.6 |

=====

For La5Pm5Sb6, a structure optimized by DFT (GGA-PBE) gives the theoretical powder XRD pattern in this record (Cu Kα X-rays).
Peak positions follow from Bragg's law for the DFT cell and can differ from measured ones.

Structural model:
Cell: 6.552 9.442 9.442 Å, 120.25 90.00 90.00°
Atoms (fractional coordinates):
La: 0.000 0.000 0.000
La: 0.250 0.085 0.417
La: 0.250 0.417 0.085
La: 0.750 0.085 0.417
La: 0.750 0.417 0.085
Pm: 0.000 0.498 0.752
Pm: 0.000 0.752 0.498
Pm: 0.500 0.004 0.750
Pm: 0.500 0.503 0.503
Pm: 0.500 0.750 0.004
Sb: 0.000 0.134 0.749
Sb: 0.000 0.373 0.373
Sb: 0.000 0.749 0.134
Sb: 0.500 0.132 0.132
Sb: 0.500 0.370 0.751
Sb: 0.500 0.751 0.370

Peak list (10 most intense, 15° ≤ 2θ ≤ 90°, by intensity)
| 2θ/deg | I/Imax |
| --- | --- |
| 33.3 | 100.0 |
| 32.0 | 76.8 |
| 32.9 | 48.0 |
| 32.1 | 36.1 |
| 32.8 | 24.3 |
| 51.2 | 23.0 |
| 27.2 | 22.4 |
| 28.9 | 21.9 |
| 29.4 | 19.7 |
| 47.5 | 18.6 |

=====

For LaPm2Sb2, a structure optimized by DFT (GGA-PBE) gives the theoretical powder XRD pattern in this record (Cu Kα X-rays).
Peak positions follow from Bragg's law for the DFT cell and can differ from measured ones.

Structural model:
Cell: 8.180 8.180 6.274 Å, 111.56 111.56 98.43°
Atoms (fractional coordinates):
La: 0.109 0.891 0.750
La: 0.891 0.109 0.250
Pm: 0.229 0.432 0.031
Pm: 0.432 0.229 0.531
Pm: 0.568 0.771 0.469
Pm: 0.771 0.568 0.969
Sb: 0.168 0.832 0.250
Sb: 0.376 0.624 0.750
Sb: 0.624 0.376 0.250
Sb: 0.832 0.168 0.750

Peak list (10 most intense, 15° ≤ 2θ ≤ 90°, by intensity)
| 2θ/deg | I/Imax |
| --- | --- |
| 28.5 | 100.0 |
| 28.8 | 76.4 |
| 32.7 | 65.5 |
| 41.0 | 49.4 |
| 31.2 | 41.2 |
| 36.3 | 34.4 |
| 37.1 | 34.2 |
| 20.1 | 31.2 |
| 25.4 | 28.3 |
| 33.2 | 26.9 |

=====

For LaPm3Sb, a structure optimized by DFT (GGA-PBE) gives the theoretical powder XRD pattern in this record (Cu Kα X-rays).
Peak positions follow from Bragg's law for the DFT cell and can differ from measured ones.

Structural model:
Cell: 11.106 4.083 14.893 Å, 90.00 90.00 90.00°
Atoms (fractional coordinates):
La: 0.169 0.250 0.007
La: 0.331 0.750 0.507
La: 0.669 0.250 0.493
La: 0.831 0.750 0.993
Pm: 0.062 0.250 0.417
Pm: 0.075 0.750 0.209
Pm: 0.181 0.750 0.792
Pm: 0.319 0.250 0.292
Pm: 0.425 0.250 0.709
Pm: 0.438 0.750 0.917
Pm: 0.562 0.250 0.083
Pm: 0.575 0.750 0.291
Pm: 0.681 0.750 0.708
Pm: 0.819 0.250 0.208
Pm: 0.925 0.250 0.791
Pm: 0.938 0.750 0.583
Sb: 0.154 0.250 0.626
Sb: 0.346 0.750 0.126
Sb: 0.654 0.250 0.874
Sb: 0.846 0.750 0.374

Peak list (10 most intense, 15° ≤ 2θ ≤ 90°, by intensity)
| 2θ/deg | I/Imax |
| --- | --- |
| 29.7 | 100.0 |
| 29.4 | 83.0 |
| 31.1 | 56.7 |
| 32.8 | 46.0 |
| 32.7 | 37.6 |
| 34.9 | 33.2 |
| 44.4 | 30.1 |
| 34.2 | 26.4 |
| 55.2 | 22.5 |
| 56.3 | 21.3 |

=====

For LaPm2Th3Sb6, a structure optimized by DFT (GGA-PBE) gives the theoretical powder XRD pattern in this record (Cu Kα X-rays).
Peak positions follow from Bragg's law for the DFT cell and can differ from measured ones.

Structural model:
Cell: 7.832 7.832 7.821 Å, 99.61 99.61 119.91°
Atoms (fractional coordinates):
La: 0.000 0.000 0.000
Pm: 0.333 0.667 0.000
Pm: 0.667 0.333 0.000
Th: 0.165 0.835 0.500
Th: 0.500 0.500 0.500
Th: 0.835 0.165 0.500
Sb: 0.084 0.421 0.252
Sb: 0.254 0.254 0.750
Sb: 0.421 0.084 0.252
Sb: 0.579 0.916 0.748
Sb: 0.746 0.746 0.250
Sb: 0.916 0.579 0.748

Peak list (10 most intense, 15° ≤ 2θ ≤ 90°, by intensity)
| 2θ/deg | I/Imax |
| --- | --- |
| 27.9 | 100.0 |
| 39.9 | 77.3 |
| 65.2 | 24.1 |
| 49.4 | 20.9 |
| 72.4 | 17.8 |
| 57.7 | 13.1 |
| 65.3 | 12.0 |
| 24.1 | 7.7 |
| 49.4 | 7.0 |
| 72.3 | 6.7 |